Computed powder diffractogram
Compound: Ag3AsBr6
Radiation: Cu Kα
Structure: a cell relaxed with PBE

a b c (Å): 7.204 7.107 12.877
angles (deg): 90.00 122.89 90.00
Space group P2_1/c (No. 14)
Unique sites:
Ag 0.000 0.000 0.000 [2 per cell]
Ag 0.227 0.033 0.740 [4 per cell]
As 0.500 0.000 0.500 [2 per cell]
Br 0.154 0.094 0.269 [4 per cell]
Br 0.234 0.672 0.057 [4 per cell]
Br 0.424 0.182 0.082 [4 per cell]

Main lines, by angle (10° ≤ 2θ ≤ 90°):
| (hkl) | 2θ/deg | d [Å] | I_rel |
| --- | --- | --- | --- |
| 1 1 1 | 23.93 | 3.719 | 43 |
| 1 1 -3 | 24.26 | 3.669 | 62 |
| 2 1 -2 | 27.77 | 3.212 | 69 |
| 1 0 -4 | 27.90 | 3.198 | 54 |
| 1 1 2 | 30.25 | 2.955 | 45 |
| 2 2 -2 | 35.49 | 2.529 | 78 |
| 3 1 -1 | 42.85 | 2.111 | 42 |
| 3 1 -5 | 43.46 | 2.082 | 100 |

Computed powder diffractogram
Compound: LiY2Ta
Radiation: Cu Kα
Structure: a cell relaxed with PBE

a b c (Å): 3.226 5.293 5.670
angles (deg): 90.00 90.04 90.00
Space group Pm (No. 6)
Unique sites:
Li 0.000 0.000 0.000 [1 per cell]
Y 0.501 0.500 0.858 [1 per cell]
Y 0.502 0.000 0.459 [1 per cell]
Ta 0.002 0.500 0.338 [1 per cell]

Main lines, by angle (10° ≤ 2θ ≤ 90°):
| (hkl) | 2θ/deg | d [Å] | I_rel |
| --- | --- | --- | --- |
| 0 0 1 | 15.63 | 5.670 | 41 |
| 0 1 0 | 16.75 | 5.293 | 42 |
| 0 0 2 | 31.56 | 2.835 | 26 |
| 1 0 1 | 31.92 | 2.804 | 25 |
| 0 2 0 | 33.87 | 2.646 | 34 |
| 0 1 2 | 35.94 | 2.499 | 32 |
| 1 1 1 | 36.26 | 2.477 | 100 |
| 1 3 1 | 62.17 | 1.493 | 21 |

Computed powder diffractogram
Compound: ThAgH6Pd
Radiation: Cu Kα
Structure: a cell relaxed with PBE

a b c (Å): 4.6934 4.6934 4.4155
angles (deg): 90.00 90.00 120.00
Space group P-6m2 (No. 187)
Unique sites:
Th 0.0000 0.0000 0.0000 [1 per cell]
Ag 0.3333 0.6667 0.5000 [1 per cell]
H 0.5098 0.0196 0.1875 [6 per cell]
Pd 0.6667 0.3333 0.5000 [1 per cell]

Main lines, by angle (10° ≤ 2θ ≤ 90°):
| (hkl) | 2θ/deg | d [Å] | I_rel |
| --- | --- | --- | --- |
| 1 0 0 | 21.87 | 4.065 | 11 |
| 1 0 1 | 29.88 | 2.990 | 100 |
| 1 1 0 | 38.36 | 2.347 | 45 |
| 0 0 2 | 40.88 | 2.208 | 12 |
| 2 0 1 | 49.36 | 1.846 | 26 |
| 1 1 2 | 57.30 | 1.608 | 29 |
| 2 1 1 | 64.19 | 1.451 | 23 |
| 1 0 3 | 67.71 | 1.384 | 10 |

Computed powder diffractogram
Compound: TbCu10Ag
Radiation: Cu Kα
Structure: a cell relaxed with PBE

a b c (Å): 4.095 4.947 8.571
angles (deg): 90.00 90.00 90.00
Space group Pmmm (No. 47)
Unique sites:
Tb 0.000 0.000 0.000 [1 per cell]
Cu 0.000 0.000 0.343 [2 per cell]
Cu 0.000 0.500 0.182 [2 per cell]
Cu 0.500 0.000 0.500 [1 per cell]
Cu 0.500 0.248 0.250 [4 per cell]
Cu 0.500 0.500 0.000 [1 per cell]
Ag 0.000 0.500 0.500 [1 per cell]

Main lines, by angle (10° ≤ 2θ ≤ 90°):
| (hkl) | 2θ/deg | d [Å] | I_rel |
| --- | --- | --- | --- |
| 1 1 1 | 30.19 | 2.961 | 41 |
| 0 2 0 | 36.31 | 2.474 | 28 |
| 0 0 4 | 42.18 | 2.143 | 34 |
| 1 2 0 | 42.70 | 2.118 | 100 |
| 2 0 0 | 44.23 | 2.048 | 30 |
| 2 0 4 | 62.77 | 1.480 | 20 |
| 1 3 3 | 69.73 | 1.349 | 21 |
| 0 4 0 | 77.10 | 1.237 | 15 |

Computed powder diffractogram
Compound: Tb2Sm5Ga4
Radiation: Cu Kα
Structure: a cell relaxed with PBE

a b c (Å): 3.526 7.588 30.514
angles (deg): 90.00 90.00 90.00
Space group Immm (No. 71)
Unique sites:
Tb 0.000 0.000 0.088 [4 per cell]
Sm 0.000 0.233 0.192 [8 per cell]
Sm 0.000 0.500 0.500 [2 per cell]
Ga 0.000 0.000 0.271 [4 per cell]
Ga 0.000 0.330 0.000 [4 per cell]

Main lines, by angle (10° ≤ 2θ ≤ 90°):
| (hkl) | 2θ/deg | d [Å] | I_rel |
| --- | --- | --- | --- |
| 0 0 4 | 11.60 | 7.629 | 27 |
| 0 1 1 | 12.02 | 7.364 | 68 |
| 0 2 2 | 24.17 | 3.682 | 29 |
| 0 0 10 | 29.27 | 3.052 | 39 |
| 0 2 6 | 29.37 | 3.041 | 33 |
| 1 1 6 | 33.09 | 2.707 | 36 |
| 1 2 5 | 37.82 | 2.379 | 100 |
| 1 0 11 | 41.42 | 2.180 | 23 |

Computed powder diffractogram
Compound: Zn2BrF2
Radiation: Cu Kα
Structure: a cell relaxed with PBE

a b c (Å): 5.645 5.645 10.997
angles (deg): 90.00 90.00 90.00
Space group I4_1md (No. 109)
Unique sites:
Zn 0.000 0.277 0.000 [8 per cell]
Br 0.000 0.000 0.524 [4 per cell]
F 0.000 0.276 0.200 [8 per cell]

Main lines, by angle (10° ≤ 2θ ≤ 90°):
| (hkl) | 2θ/deg | d [Å] | I_rel |
| --- | --- | --- | --- |
| 1 0 1 | 17.66 | 5.022 | 70 |
| 1 1 2 | 27.62 | 3.230 | 25 |
| 0 0 4 | 32.57 | 2.749 | 51 |
| 2 0 2 | 35.76 | 2.511 | 38 |
| 2 1 1 | 36.52 | 2.460 | 100 |
| 2 1 3 | 43.53 | 2.079 | 45 |
| 1 0 5 | 44.20 | 2.049 | 22 |
| 2 1 5 | 55.41 | 1.658 | 22 |

Computed powder diffractogram
Compound: Rb3CaAg2I6
Radiation: Cu Kα
Structure: a cell relaxed with PBE

a b c (Å): 8.8801 8.8801 9.0557
angles (deg): 90.00 90.00 120.00
Space group P-3m1 (No. 164)
Unique sites:
Rb 0.0000 0.0000 0.0000 [1 per cell]
Rb 0.3333 0.6667 0.6163 [2 per cell]
Ca 0.0000 0.0000 0.5000 [1 per cell]
Ag 0.3333 0.6667 0.1529 [2 per cell]
I 0.1649 0.3299 0.2956 [6 per cell]

Main lines, by angle (10° ≤ 2θ ≤ 90°):
| (hkl) | 2θ/deg | d [Å] | I_rel |
| --- | --- | --- | --- |
| 0 1 1 | 15.11 | 5.862 | 54 |
| 0 0 2 | 19.61 | 4.528 | 23 |
| 2 0 0 | 23.13 | 3.845 | 29 |
| 0 2 1 | 25.16 | 3.539 | 81 |
| 2 0 2 | 30.50 | 2.931 | 100 |
| 2 2 0 | 40.64 | 2.220 | 53 |
| 0 2 4 | 46.54 | 1.951 | 24 |
| 0 4 2 | 51.65 | 1.770 | 22 |

Computed powder diffractogram
Compound: Tb2NdDyHo4
Radiation: Cu Kα
Structure: a cell relaxed with PBE

a b c (Å): 13.573 13.250 6.789
angles (deg): 90.00 120.01 90.00
Space group C2/c (No. 15)
Unique sites:
Tb 0.000 0.000 0.000 [4 per cell]
Tb 0.250 0.250 0.000 [4 per cell]
Nd 0.250 0.250 0.500 [4 per cell]
Dy 0.000 0.500 0.000 [4 per cell]
Ho 0.000 0.250 0.501 [8 per cell]
Ho 0.250 0.001 0.002 [8 per cell]

Main lines, by angle (10° ≤ 2θ ≤ 90°):
| (hkl) | 2θ/deg | d [Å] | I_rel |
| --- | --- | --- | --- |
| 0 4 0 | 26.92 | 3.313 | 46 |
| 4 0 0 | 30.41 | 2.939 | 100 |
| 4 4 0 | 41.06 | 2.198 | 89 |
| 4 0 2 | 54.04 | 1.697 | 20 |
| 4 4 2 | 61.39 | 1.510 | 27 |
| 8 0 0 | 63.28 | 1.469 | 12 |
| 4 8 0 | 64.59 | 1.443 | 23 |
| 8 4 0 | 70.05 | 1.343 | 18 |

Computed powder diffractogram
Compound: Na3Zn2Cd9
Radiation: Cu Kα
Structure: a cell relaxed with PBE

a b c (Å): 4.892 10.391 13.046
angles (deg): 90.00 90.00 90.00
Space group Immm (No. 71)
Unique sites:
Na 0.000 0.000 0.000 [2 per cell]
Na 0.000 0.000 0.280 [4 per cell]
Zn 0.000 0.135 0.500 [4 per cell]
Cd 0.000 0.288 0.149 [8 per cell]
Cd 0.000 0.361 0.373 [8 per cell]
Cd 0.000 0.500 0.000 [2 per cell]

Main lines, by angle (10° ≤ 2θ ≤ 90°):
| (hkl) | 2θ/deg | d [Å] | I_rel |
| --- | --- | --- | --- |
| 0 2 0 | 17.07 | 5.196 | 29 |
| 1 1 0 | 20.06 | 4.426 | 48 |
| 1 3 0 | 31.65 | 2.827 | 37 |
| 0 2 4 | 32.46 | 2.758 | 100 |
| 1 1 4 | 34.15 | 2.626 | 37 |
| 2 0 0 | 36.74 | 2.446 | 66 |
| 1 4 1 | 39.90 | 2.260 | 70 |
| 1 3 4 | 42.31 | 2.136 | 76 |

Computed powder diffractogram
Compound: NaPr2SiO5
Radiation: Cu Kα
Structure: a cell relaxed with PBE

a b c (Å): 6.915 6.915 5.435
angles (deg): 90.00 90.00 90.00
Space group P4/mbm (No. 127)
Unique sites:
Na 0.000 0.000 0.000 [2 per cell]
Pr 0.180 0.320 0.500 [4 per cell]
Si 0.000 0.500 0.000 [2 per cell]
O 0.000 0.000 0.500 [2 per cell]
O 0.124 0.624 0.228 [8 per cell]

Main lines, by angle (10° ≤ 2θ ≤ 90°):
| (hkl) | 2θ/deg | d [Å] | I_rel |
| --- | --- | --- | --- |
| 0 0 1 | 16.31 | 5.435 | 95 |
| 2 1 0 | 28.87 | 3.092 | 39 |
| 2 0 1 | 30.65 | 2.917 | 70 |
| 0 0 2 | 32.96 | 2.718 | 26 |
| 2 1 1 | 33.34 | 2.688 | 100 |
| 2 1 2 | 44.38 | 2.041 | 62 |
| 4 1 1 | 57.49 | 1.603 | 43 |
| 3 3 1 | 59.14 | 1.562 | 29 |

Computed powder diffractogram
Compound: K2U2AsP2
Radiation: Cu Kα
Structure: a cell relaxed with PBE

a b c (Å): 5.282 5.282 16.167
angles (deg): 90.00 90.00 90.00
Space group I4/mmm (No. 139)
Unique sites:
K 0.000 0.000 0.200 [4 per cell]
U 0.000 0.500 0.000 [4 per cell]
As 0.000 0.000 0.000 [2 per cell]
P 0.000 0.000 0.405 [4 per cell]

Main lines, by angle (10° ≤ 2θ ≤ 90°):
| (hkl) | 2θ/deg | d [Å] | I_rel |
| --- | --- | --- | --- |
| 0 0 2 | 10.95 | 8.083 | 100 |
| 0 0 4 | 21.99 | 4.042 | 23 |
| 1 1 2 | 26.29 | 3.390 | 41 |
| 1 1 4 | 32.65 | 2.743 | 21 |
| 2 0 0 | 33.94 | 2.641 | 28 |
| 2 0 2 | 35.77 | 2.510 | 25 |
| 2 0 4 | 40.82 | 2.211 | 20 |
| 1 1 6 | 41.32 | 2.185 | 12 |

> Number 4 is which compound?

TbCu10Ag